Structure and calculated X-ray powder pattern of DyHfCd2Au4 (DFT lattice parameters and positions (PBE); a wavelength of 1.5418 Å).

Structure:
```
data_DyHfCd2Au4
_cell_length_a 4.850
_cell_length_b 4.850
_cell_length_c 6.848
_cell_angle_alpha 90.00
_cell_angle_beta 90.00
_cell_angle_gamma 90.00
_space_group_name_H-M_alt 'P 1'
_space_group_IT_number 1
_space_group_name_Hall 'P 1'
loop_
_atom_site_label
_atom_site_fract_x
_atom_site_fract_y
_atom_site_fract_z
Dy1 0.000 0.000 0.000
Hf1 0.500 0.500 0.500
Cd1 0.000 0.000 0.500
Cd2 0.500 0.500 0.000
Au1 0.000 0.500 0.266
Au2 0.000 0.500 0.734
Au3 0.500 0.000 0.266
Au4 0.500 0.000 0.734
```

Largest 8 diffraction maxima, by angle, 2θ = 5–70°:
2θ (°)	intensity
12.93	1
22.46	1
25.99	3
37.09	100
47.87	1
53.46	17
60.38	1
66.86	35



Structure and calculated X-ray powder pattern of Li2NbB6 (DFT lattice parameters and positions (PBE); a wavelength of 1.5418 Å).

Structure:
```
data_Li2NbB6
_cell_length_a 8.954
_cell_length_b 11.137
_cell_length_c 3.483
_cell_angle_alpha 90.00
_cell_angle_beta 90.00
_cell_angle_gamma 90.00
_space_group_name_H-M_alt 'P 1'
_space_group_IT_number 1
_space_group_name_Hall 'P 1'
loop_
_atom_site_label
_atom_site_fract_x
_atom_site_fract_y
_atom_site_fract_z
Li1 0.052 0.124 0.000
Li2 0.181 0.413 0.000
Li3 0.319 0.913 0.000
Li4 0.448 0.624 0.000
Li5 0.552 0.376 0.000
Li6 0.681 0.087 0.000
Li7 0.819 0.587 0.000
Li8 0.948 0.876 0.000
Nb1 0.146 0.681 0.000
Nb2 0.354 0.181 0.000
Nb3 0.646 0.819 0.000
Nb4 0.854 0.319 0.000
B1 0.024 0.287 0.500
B2 0.051 0.562 0.500
B3 0.098 0.974 0.500
B4 0.126 0.824 0.500
B5 0.199 0.240 0.500
B6 0.237 0.076 0.500
B7 0.263 0.576 0.500
B8 0.301 0.740 0.500
B9 0.374 0.324 0.500
B10 0.402 0.474 0.500
B11 0.449 0.062 0.500
B12 0.476 0.787 0.500
B13 0.524 0.213 0.500
B14 0.551 0.938 0.500
B15 0.598 0.526 0.500
B16 0.626 0.676 0.500
B17 0.699 0.260 0.500
B18 0.737 0.424 0.500
B19 0.763 0.924 0.500
B20 0.801 0.760 0.500
B21 0.874 0.176 0.500
B22 0.902 0.026 0.500
B23 0.949 0.438 0.500
B24 0.976 0.713 0.500
```

Largest 8 diffraction maxima, by angle, 2θ = 5–70°:
2θ (°)	intensity
15.91	56
18.77	70
21.39	100
25.98	27
31.91	30
33.58	54
42.79	37
46.97	31



Structure and calculated X-ray powder pattern of KPrPdSe4 (DFT lattice parameters and positions (PBE); a wavelength of 1.5418 Å).

Structure:
```
data_KPrPdSe4
_cell_length_a 7.277
_cell_length_b 5.899
_cell_length_c 9.620
_cell_angle_alpha 90.00
_cell_angle_beta 107.84
_cell_angle_gamma 90.00
_space_group_name_H-M_alt 'P 1'
_space_group_IT_number 1
_space_group_name_Hall 'P 1'
loop_
_atom_site_label
_atom_site_fract_x
_atom_site_fract_y
_atom_site_fract_z
K1 0.248 0.000 0.444
K2 0.752 0.500 0.556
Pr1 0.237 0.035 0.940
Pr2 0.763 0.535 0.060
Pd1 0.263 0.454 0.191
Pd2 0.737 0.954 0.809
Se1 0.054 0.499 0.347
Se2 0.096 0.537 0.930
Se3 0.439 0.735 0.768
Se4 0.494 0.800 0.211
Se5 0.506 0.300 0.789
Se6 0.561 0.235 0.232
Se7 0.904 0.037 0.070
Se8 0.946 0.999 0.653
```

Largest 8 diffraction maxima, by angle, 2θ = 5–70°:
2θ (°)	intensity
9.66	100
17.89	29
27.11	27
30.52	37
31.13	37
33.01	27
37.40	28
40.17	32



Structure and calculated X-ray powder pattern of Cu2SiHgTeSe3 (DFT lattice parameters and positions (PBE); a wavelength of 1.5418 Å).

Structure:
```
data_Cu2SiHgTeSe3
_cell_length_a 5.906
_cell_length_b 5.906
_cell_length_c 6.943
_cell_angle_alpha 114.68
_cell_angle_beta 114.68
_cell_angle_gamma 89.86
_space_group_name_H-M_alt 'P 1'
_space_group_IT_number 1
_space_group_name_Hall 'P 1'
loop_
_atom_site_label
_atom_site_fract_x
_atom_site_fract_y
_atom_site_fract_z
Cu1 0.239 0.761 0.000
Cu2 0.761 0.239 0.000
Si1 0.977 0.977 0.478
Hg1 0.499 0.499 0.488
Te1 0.353 0.353 0.764
Se1 0.079 0.637 0.222
Se2 0.637 0.079 0.222
Se3 0.901 0.901 0.753
```

Largest 8 diffraction maxima, by angle, 2θ = 5–70°:
2θ (°)	intensity
26.40	48
26.64	100
26.80	55
34.94	32
43.29	32
44.31	49
44.82	45
51.75	27



Structure and calculated X-ray powder pattern of Sc2Ga3GePd2 (DFT lattice parameters and positions (PBE); a wavelength of 1.5418 Å).

Structure:
```
data_Sc2Ga3GePd2
_cell_length_a 5.411
_cell_length_b 5.411
_cell_length_c 6.461
_cell_angle_alpha 90.35
_cell_angle_beta 90.35
_cell_angle_gamma 46.65
_space_group_name_H-M_alt 'P 1'
_space_group_IT_number 1
_space_group_name_Hall 'P 1'
loop_
_atom_site_label
_atom_site_fract_x
_atom_site_fract_y
_atom_site_fract_z
Sc1 0.000 0.000 0.000
Sc2 0.166 0.166 0.502
Ga1 0.456 0.456 0.298
Ga2 0.708 0.708 0.801
Ga3 0.711 0.711 0.205
Ge1 0.458 0.458 0.706
Pd1 0.284 0.284 0.999
Pd2 0.881 0.881 0.507
```

Largest 8 diffraction maxima, by angle, 2θ = 5–70°:
2θ (°)	intensity
17.85	27
35.97	100
36.95	39
37.09	35
42.18	58
44.40	31
44.64	35
48.24	26



Structure and calculated X-ray powder pattern of Ta2CoGe2Ir (DFT lattice parameters and positions (PBE); a wavelength of 1.5418 Å).

Structure:
```
data_Ta2CoGe2Ir
_cell_length_a 7.205
_cell_length_b 4.143
_cell_length_c 13.768
_cell_angle_alpha 90.00
_cell_angle_beta 99.74
_cell_angle_gamma 90.00
_space_group_name_H-M_alt 'P 1'
_space_group_IT_number 1
_space_group_name_Hall 'P 1'
loop_
_atom_site_label
_atom_site_fract_x
_atom_site_fract_y
_atom_site_fract_z
Ta1 0.000 0.000 0.000
Ta2 0.006 0.500 0.491
Ta3 0.236 0.000 0.736
Ta4 0.246 0.500 0.241
Ta5 0.483 0.000 0.483
Ta6 0.499 0.500 0.999
Ta7 0.744 0.000 0.236
Ta8 0.756 0.500 0.738
Co1 0.059 0.500 0.675
Co2 0.060 0.000 0.181
Co3 0.305 0.500 0.424
Co4 0.558 0.500 0.180
Ge1 0.120 0.500 0.859
Ge2 0.127 0.000 0.362
Ge3 0.361 0.500 0.610
Ge4 0.373 0.000 0.124
Ge5 0.610 0.500 0.361
Ge6 0.621 0.000 0.864
Ge7 0.875 0.500 0.124
Ge8 0.880 0.000 0.615
Ir1 0.309 0.000 0.930
Ir2 0.557 0.000 0.674
Ir3 0.808 0.000 0.426
Ir4 0.811 0.500 0.932
```

Largest 8 diffraction maxima, by angle, 2θ = 5–70°:
2θ (°)	intensity
26.28	71
30.50	15
43.55	100
43.68	50
51.46	11
51.70	23
63.48	16
69.74	9



Structure and calculated X-ray powder pattern of Tl2Mo9Se11 (DFT lattice parameters and positions (PBE); a wavelength of 1.5418 Å).

Structure:
```
data_Tl2Mo9Se11
_cell_length_a 13.461
_cell_length_b 13.461
_cell_length_c 13.461
_cell_angle_alpha 42.45
_cell_angle_beta 42.45
_cell_angle_gamma 42.45
_space_group_name_H-M_alt 'P 1'
_space_group_IT_number 1
_space_group_name_Hall 'P 1'
loop_
_atom_site_label
_atom_site_fract_x
_atom_site_fract_y
_atom_site_fract_z
Tl1 0.170 0.170 0.170
Tl2 0.268 0.268 0.268
Tl3 0.732 0.732 0.732
Tl4 0.830 0.830 0.830
Mo1 0.046 0.183 0.864
Mo2 0.136 0.954 0.817
Mo3 0.183 0.864 0.046
Mo4 0.259 0.571 0.391
Mo5 0.306 0.479 0.624
Mo6 0.376 0.694 0.521
Mo7 0.391 0.259 0.571
Mo8 0.429 0.609 0.741
Mo9 0.479 0.624 0.306
Mo10 0.521 0.376 0.694
Mo11 0.571 0.391 0.259
Mo12 0.609 0.741 0.429
Mo13 0.624 0.306 0.479
Mo14 0.694 0.521 0.376
Mo15 0.741 0.429 0.609
Mo16 0.817 0.136 0.954
Mo17 0.864 0.046 0.183
Mo18 0.954 0.817 0.136
Se1 0.006 0.265 0.648
Se2 0.086 0.086 0.086
Se3 0.087 0.442 0.707
Se4 0.166 0.788 0.449
Se5 0.212 0.551 0.834
Se6 0.265 0.648 0.006
Se7 0.293 0.913 0.558
Se8 0.352 0.352 0.352
Se9 0.352 0.994 0.735
Se10 0.442 0.707 0.087
Se11 0.449 0.166 0.788
Se12 0.551 0.834 0.212
Se13 0.558 0.293 0.913
Se14 0.648 0.006 0.265
Se15 0.648 0.648 0.648
Se16 0.707 0.087 0.442
Se17 0.735 0.352 0.994
Se18 0.788 0.449 0.166
Se19 0.834 0.212 0.551
Se20 0.913 0.558 0.293
Se21 0.914 0.914 0.914
Se22 0.994 0.735 0.352
```

Largest 8 diffraction maxima, by angle, 2θ = 5–70°:
2θ (°)	intensity
11.54	41
18.21	51
28.40	47
28.55	55
31.81	62
38.78	38
39.08	32
43.26	100



Structure and calculated X-ray powder pattern of Na2Sc2Al2CuPd (DFT lattice parameters and positions (PBE); a wavelength of 1.5418 Å).

Structure:
```
data_Na2Sc2Al2CuPd
_cell_length_a 4.632
_cell_length_b 4.632
_cell_length_c 6.580
_cell_angle_alpha 90.00
_cell_angle_beta 90.00
_cell_angle_gamma 90.00
_space_group_name_H-M_alt 'P 1'
_space_group_IT_number 1
_space_group_name_Hall 'P 1'
loop_
_atom_site_label
_atom_site_fract_x
_atom_site_fract_y
_atom_site_fract_z
Na1 0.000 0.000 0.000
Na2 0.500 0.500 0.500
Sc1 0.000 0.500 0.246
Sc2 0.500 0.000 0.754
Al1 0.000 0.500 0.752
Al2 0.500 0.000 0.248
Cu1 0.500 0.500 0.000
Pd1 0.000 0.000 0.500
```

Largest 8 diffraction maxima, by angle, 2θ = 5–70°:
2θ (°)	intensity
23.49	33
27.23	4
38.82	100
45.77	5
45.93	11
55.89	5
56.16	11
61.58	4



Structure and calculated X-ray powder pattern of Cs2FePdI6 (DFT lattice parameters and positions (PBE); a wavelength of 1.5418 Å).

Structure:
```
data_Cs2FePdI6
_cell_length_a 8.109
_cell_length_b 8.109
_cell_length_c 8.109
_cell_angle_alpha 120.36
_cell_angle_beta 120.36
_cell_angle_gamma 89.37
_space_group_name_H-M_alt 'P 1'
_space_group_IT_number 1
_space_group_name_Hall 'P 1'
loop_
_atom_site_label
_atom_site_fract_x
_atom_site_fract_y
_atom_site_fract_z
Cs1 0.250 0.750 0.500
Cs2 0.750 0.250 0.500
Fe1 0.000 0.000 0.000
Pd1 0.500 0.500 0.000
I1 0.236 0.236 0.000
I2 0.253 0.253 0.506
I3 0.253 0.747 0.000
I4 0.747 0.253 0.000
I5 0.747 0.747 0.494
I6 0.764 0.764 0.000
```

Largest 8 diffraction maxima, by angle, 2θ = 5–70°:
2θ (°)	intensity
26.99	100
31.02	33
31.38	67
44.71	48
44.97	24
52.77	14
53.23	30
55.63	25



Structure and calculated X-ray powder pattern of Y10Al3Pt (DFT lattice parameters and positions (PBE); a wavelength of 1.5418 Å).

Structure:
```
data_Y10Al3Pt
_cell_length_a 9.638
_cell_length_b 9.638
_cell_length_c 9.607
_cell_angle_alpha 90.00
_cell_angle_beta 90.00
_cell_angle_gamma 120.00
_space_group_name_H-M_alt 'P 1'
_space_group_IT_number 1
_space_group_name_Hall 'P 1'
loop_
_atom_site_label
_atom_site_fract_x
_atom_site_fract_y
_atom_site_fract_z
Y1 0.000 0.000 0.000
Y2 0.000 0.000 0.500
Y3 0.084 0.542 0.250
Y4 0.206 0.411 0.556
Y5 0.206 0.411 0.944
Y6 0.206 0.794 0.556
Y7 0.206 0.794 0.944
Y8 0.411 0.206 0.056
Y9 0.411 0.206 0.444
Y10 0.458 0.542 0.250
Y11 0.458 0.916 0.250
Y12 0.542 0.084 0.750
Y13 0.542 0.458 0.750
Y14 0.589 0.794 0.556
Y15 0.589 0.794 0.944
Y16 0.794 0.206 0.056
Y17 0.794 0.206 0.444
Y18 0.794 0.589 0.056
Y19 0.794 0.589 0.444
Y20 0.916 0.458 0.750
Al1 0.113 0.226 0.250
Al2 0.113 0.887 0.250
Al3 0.226 0.113 0.750
Al4 0.774 0.887 0.250
Al5 0.887 0.113 0.750
Al6 0.887 0.774 0.750
Pt1 0.333 0.667 0.750
Pt2 0.667 0.333 0.250
```

Largest 8 diffraction maxima, by angle, 2θ = 5–70°:
2θ (°)	intensity
14.06	35
21.34	24
29.82	44
33.53	37
34.00	100
35.33	44
37.32	28
40.11	25



Structure and calculated X-ray powder pattern of BaCoS2 (DFT lattice parameters and positions (PBE); a wavelength of 1.5418 Å).

Structure:
```
data_BaCoS2
_cell_length_a 6.190
_cell_length_b 8.924
_cell_length_c 6.189
_cell_angle_alpha 90.00
_cell_angle_beta 90.00
_cell_angle_gamma 90.00
_space_group_name_H-M_alt 'P 1'
_space_group_IT_number 1
_space_group_name_Hall 'P 1'
loop_
_atom_site_label
_atom_site_fract_x
_atom_site_fract_y
_atom_site_fract_z
Ba1 0.000 0.200 0.250
Ba2 0.000 0.800 0.750
Ba3 0.500 0.200 0.750
Ba4 0.500 0.800 0.250
Co1 0.000 0.413 0.750
Co2 0.000 0.587 0.250
Co3 0.500 0.413 0.250
Co4 0.500 0.587 0.750
S1 0.000 0.159 0.750
S2 0.000 0.841 0.250
S3 0.250 0.500 0.002
S4 0.250 0.500 0.502
S5 0.500 0.159 0.250
S6 0.500 0.841 0.750
S7 0.750 0.500 0.498
S8 0.750 0.500 0.998
```

Largest 8 diffraction maxima, by angle, 2θ = 5–70°:
2θ (°)	intensity
22.63	38
28.57	56
28.85	100
30.04	34
35.30	48
36.52	59
41.25	66
59.80	55